Entry 1:
For Cr3N4, a cell relaxed with PBE gives the calculated X-ray diffraction stick pattern in this record (Cu Kα (λ = 1.5418 Å)).
Peak positions follow from Bragg's law for the DFT cell and can differ from measured ones.

Cell and atoms:
Cell: 5.9129 5.9129 5.9129 Å, 109.47 109.47 109.47°
Fractional positions:
Cr 0.1250 0.7500 0.8750
Cr 0.2500 0.6250 0.3750
Cr 0.3750 0.2500 0.6250
Cr 0.6250 0.3750 0.2500
Cr 0.7500 0.8750 0.1250
Cr 0.8750 0.1250 0.7500
N 0.0000 0.0618 0.5000
N 0.0000 0.5618 0.5000
N 0.0618 0.5000 0.0000
N 0.4382 0.4382 0.4382
N 0.5000 0.0000 0.0618
N 0.5000 0.0000 0.5618
N 0.5618 0.5000 0.0000
N 0.9382 0.9382 0.9382

Top 7 peaks for 2θ from 5° to 70°, by angle:
d_spacing  two_theta  I_rel
2.787  32.11  100
2.159  41.84  16
1.825  49.98  17
1.707  53.70  4
1.527  60.66  16
1.456  63.96  14
1.394  67.17  6

---

Entry 2:
For CrN, a cell relaxed with PBE gives the calculated X-ray diffraction stick pattern in this record (Cu Kα (λ = 1.5418 Å)).
Peak positions follow from Bragg's law for the DFT cell and can differ from measured ones.

Cell and atoms:
Cell: 5.0305 5.0305 5.0305 Å, 149.66 149.66 43.43°
Fractional positions:
Cr 0.0000 0.0000 0.0000
Cr 0.7500 0.2500 0.5000
N 0.3303 0.8303 0.5000
N 0.5803 0.5803 0.0000

Top 5 peaks for 2θ from 5° to 70°, by angle:
d_spacing  two_theta  I_rel
2.534  35.43  87
2.337  38.53  46
2.011  45.09  68
1.729  52.95  100
1.524  60.77  34

---

Entry 3:
For Cr3N4, a cell relaxed with PBE gives the calculated X-ray diffraction stick pattern in this record (Cu Kα (λ = 1.5418 Å)).
Peak positions follow from Bragg's law for the DFT cell and can differ from measured ones.

Cell and atoms:
Cell: 10.1026 5.8720 4.8162 Å, 90.00 90.00 90.00°
Fractional positions:
Cr 0.0000 0.0000 0.0000
Cr 0.0000 0.5000 0.0000
Cr 0.0919 0.2500 0.4189
Cr 0.2335 0.7500 0.4938
Cr 0.2665 0.2500 0.9938
Cr 0.4081 0.7500 0.9189
Cr 0.5000 0.0000 0.5000
Cr 0.5000 0.5000 0.5000
Cr 0.5919 0.2500 0.0811
Cr 0.7335 0.7500 0.0062
Cr 0.7665 0.2500 0.5062
Cr 0.9081 0.7500 0.5811
N 0.0680 0.7500 0.7405
N 0.0886 0.2500 0.7850
N 0.1657 0.0134 0.2506
N 0.1657 0.4866 0.2506
N 0.3343 0.5134 0.7506
N 0.3343 0.9866 0.7506
N 0.4114 0.7500 0.2850
N 0.4320 0.2500 0.2405
N 0.5680 0.7500 0.7595
N 0.5886 0.2500 0.7150
N 0.6657 0.0134 0.2494
N 0.6657 0.4866 0.2494
N 0.8343 0.5134 0.7494
N 0.8343 0.9866 0.7494
N 0.9114 0.7500 0.2150
N 0.9320 0.2500 0.2595

Top 10 peaks for 2θ from 5° to 70°, by angle:
d_spacing  two_theta  I_rel
3.829  23.23  33
3.492  25.51  36
2.760  32.44  46
2.538  35.36  19
2.498  35.96  100
2.433  36.94  98
1.747  52.37  49
1.597  57.75  22
1.468  63.36  19
1.461  63.71  32

---

Entry 4:
For Cr3N4, a cell relaxed with PBE gives the calculated X-ray diffraction stick pattern in this record (Cu Kα (λ = 1.5418 Å)).
Peak positions follow from Bragg's law for the DFT cell and can differ from measured ones.

Cell and atoms:
Cell: 8.0399 8.0399 3.1393 Å, 90.00 90.00 120.00°
Fractional positions:
Cr 0.1804 0.7776 0.2500
Cr 0.2224 0.4028 0.2500
Cr 0.4028 0.1804 0.7500
Cr 0.5972 0.8196 0.2500
Cr 0.7776 0.5972 0.7500
Cr 0.8196 0.2224 0.7500
N 0.0390 0.7078 0.7500
N 0.2922 0.3312 0.7500
N 0.3312 0.0390 0.2500
N 0.3333 0.6667 0.2500
N 0.6667 0.3333 0.7500
N 0.6688 0.9610 0.7500
N 0.7078 0.6688 0.2500
N 0.9610 0.2922 0.2500

Top 10 peaks for 2θ from 5° to 70°, by angle:
d_spacing  two_theta  I_rel
6.963  12.71  19
4.020  22.11  29
3.481  25.59  88
2.862  31.25  96
2.632  34.07  100
2.331  38.62  65
1.866  48.80  51
1.424  65.57  50
1.368  68.62  19
1.348  69.76  20

---

Entry 5:
For Cr3N4, a cell relaxed with PBE gives the calculated X-ray diffraction stick pattern in this record (Cu Kα (λ = 1.5418 Å)).
Peak positions follow from Bragg's law for the DFT cell and can differ from measured ones.

Cell and atoms:
Cell: 8.1868 8.1868 6.0424 Å, 90.00 90.00 120.00°
Fractional positions:
Cr 0.0814 0.5675 0.0000
Cr 0.0878 0.2550 0.7291
Cr 0.1672 0.9122 0.7291
Cr 0.2550 0.0878 0.2291
Cr 0.4325 0.5139 0.0000
Cr 0.4861 0.9186 0.0000
Cr 0.5139 0.4325 0.5000
Cr 0.5675 0.0814 0.5000
Cr 0.7450 0.8328 0.7291
Cr 0.8328 0.7450 0.2291
Cr 0.9122 0.1672 0.2291
Cr 0.9186 0.4861 0.5000
N 0.0000 0.0000 0.2275
N 0.0000 0.0000 0.7275
N 0.0009 0.3141 0.4786
N 0.0443 0.6518 0.7308
N 0.3131 0.9991 0.4786
N 0.3141 0.0009 0.9786
N 0.3333 0.6667 0.0633
N 0.3482 0.3925 0.7308
N 0.3925 0.3482 0.2308
N 0.6075 0.9557 0.7308
N 0.6518 0.0443 0.2308
N 0.6667 0.3333 0.5633
N 0.6859 0.6869 0.4786
N 0.6869 0.6859 0.9786
N 0.9557 0.6075 0.2308
N 0.9991 0.3131 0.9786

Top 10 peaks for 2θ from 5° to 70°, by angle:
d_spacing  two_theta  I_rel
4.599  19.30  89
4.093  21.71  38
3.058  29.21  93
2.779  32.21  100
2.680  33.44  94
2.450  36.69  76
2.299  39.18  61
2.201  41.01  61
1.571  58.79  34
1.432  65.13  37

---

Entry 6:
For Cr3N4, a cell relaxed with PBE gives the calculated X-ray diffraction stick pattern in this record (Cu Kα (λ = 1.5418 Å)).
Peak positions follow from Bragg's law for the DFT cell and can differ from measured ones.

Cell and atoms:
Cell: 7.6559 7.6559 6.6523 Å, 90.00 90.00 120.00°
Fractional positions:
Cr 0.0455 0.8038 0.0000
Cr 0.1010 0.4627 0.2611
Cr 0.1962 0.2418 0.0000
Cr 0.2418 0.1962 0.5000
Cr 0.3618 0.8990 0.2611
Cr 0.4627 0.1010 0.7611
Cr 0.5373 0.6382 0.2611
Cr 0.6382 0.5373 0.7611
Cr 0.7582 0.9545 0.0000
Cr 0.8038 0.0455 0.5000
Cr 0.8990 0.3618 0.7611
Cr 0.9545 0.7582 0.5000
N 0.0000 0.0000 0.1527
N 0.0000 0.0000 0.3465
N 0.0000 0.0000 0.6527
N 0.0000 0.0000 0.8465
N 0.0402 0.3649 0.9944
N 0.0780 0.6940 0.2699
N 0.3060 0.3840 0.2699
N 0.3248 0.9598 0.9944
N 0.3649 0.0402 0.4944
N 0.3840 0.3060 0.7699
N 0.6160 0.9220 0.2699
N 0.6351 0.6752 0.9944
N 0.6752 0.6351 0.4944
N 0.6940 0.0780 0.7699
N 0.9220 0.6160 0.7699
N 0.9598 0.3248 0.4944

Top 10 peaks for 2θ from 5° to 70°, by angle:
d_spacing  two_theta  I_rel
6.630  13.35  47
4.696  18.90  76
3.828  23.24  21
2.971  30.08  75
2.507  35.82  100
2.346  38.37  81
2.001  45.31  26
1.662  55.28  30
1.659  55.38  20
1.386  67.61  21